1.
This entry pairs a crystal structure of LiThPbN with its calculated powder diffraction line list. Radiation: Cu Kα (weighted mean of Kα1 and Kα2). Structure: a cell relaxed with GGA-PBE.
Lines closer than 0.1° are merged.

Cell and atoms:
abc: 3.370 3.370 14.520
angles: 90.00 90.00 90.00
Space group I4mm (No. 107)
Inequivalent atoms, fractional coordinates:
1 Li 0.000 0.000 0.000 (multiplicity 2)
2 Th 0.000 0.000 0.679 (multiplicity 2)
3 Pb 0.000 0.000 0.376 (multiplicity 2)
4 N 0.000 0.000 0.137 (multiplicity 2)

The 6 most intense peaks (10° ≤ 2θ ≤ 90°), sorted by position:
d_spacing	Position (°2θ)	I_rel	h k l
3.630	24.52	36	0 0 4
3.283	27.16	50	1 0 1
2.766	32.37	100	1 0 3
2.383	37.75	40	1 1 0
1.992	45.54	28	1 1 4
1.439	64.79	29	2 1 3

***

2.
This entry pairs a crystal structure of LiPrPdN with its calculated powder diffraction line list. Radiation: Cu Kα (weighted mean of Kα1 and Kα2). Structure: a cell relaxed with GGA-PBE.
Lines closer than 0.1° are merged.

Cell and atoms:
abc: 3.544 3.544 10.948
angles: 90.00 90.00 90.00
Space group I4mm (No. 107)
Inequivalent atoms, fractional coordinates:
1 Li 0.000 0.000 0.000 (multiplicity 2)
2 Pr 0.000 0.000 0.701 (multiplicity 2)
3 Pd 0.000 0.000 0.384 (multiplicity 2)
4 N 0.000 0.000 0.178 (multiplicity 2)

The 6 most intense peaks (10° ≤ 2θ ≤ 90°), sorted by position:
d_spacing	Position (°2θ)	I_rel	h k l
5.474	16.19	35	0 0 2
3.372	26.43	56	1 0 1
2.543	35.30	100	1 0 3
2.506	35.83	61	1 1 0
1.848	49.30	21	1 1 4
1.454	64.04	36	2 1 3

***

3.
This entry pairs a crystal structure of LiTlPd2N with its calculated powder diffraction line list. Radiation: Cu Kα (weighted mean of Kα1 and Kα2). Structure: a cell relaxed with GGA-PBE.
Lines closer than 0.1° are merged.

Cell and atoms:
abc: 4.261 4.261 4.063
angles: 90.00 90.00 90.00
Space group P4/mmm (No. 123)
Inequivalent atoms, fractional coordinates:
1 Li 0.000 0.000 0.000 (multiplicity 1)
2 Tl 0.500 0.500 0.000 (multiplicity 1)
3 Pd 0.000 0.500 0.500 (multiplicity 2)
4 N 0.000 0.000 0.500 (multiplicity 1)

The 6 most intense peaks (10° ≤ 2θ ≤ 90°), sorted by position:
d_spacing	Position (°2θ)	I_rel	h k l
4.261	20.85	41	1 0 0
2.940	30.40	44	1 0 1
2.420	37.15	100	1 1 1
2.130	42.43	39	2 0 0
1.470	63.25	24	2 0 2
1.279	74.14	27	3 1 1

***

4.
This entry pairs a crystal structure of LiPrTaN3 with its calculated powder diffraction line list. Radiation: Cu Kα (weighted mean of Kα1 and Kα2). Structure: a cell relaxed with GGA-PBE.
Lines closer than 0.1° are merged.

Cell and atoms:
abc: 6.898 3.249 6.978
angles: 90.00 105.36 90.00
Space group P2_1/m (No. 11)
Inequivalent atoms, fractional coordinates:
1 Li 0.078 0.250 0.089 (multiplicity 2)
2 Pr 0.214 0.250 0.743 (multiplicity 2)
3 Ta 0.323 0.750 0.326 (multiplicity 2)
4 N 0.140 0.250 0.368 (multiplicity 2)
5 N 0.217 0.750 0.032 (multiplicity 2)
6 N 0.454 0.750 0.660 (multiplicity 2)

The 6 most intense peaks (10° ≤ 2θ ≤ 90°), sorted by position:
d_spacing	Position (°2θ)	I_rel	h k l
6.728	13.16	35	0 0 1
3.362	26.51	67	0 0 2
3.326	26.81	51	2 0 0
2.926	30.55	100	0 1 1
2.758	32.46	43	2 0 -2
2.335	38.56	81	2 1 -1